This entry pairs a crystal structure of EuO3 with its simulated PXRD pattern. Radiation: Cu Kα (λ = 1.5418 Å). Structure: the PBE geometry in the Materials Project.
No peak broadening, texture or thermal motion is included.

Structure:
```
8
Lattice="3.213 0.000 0.000 0.000 4.959 0.000 0.000 0.000 6.488" Properties=species:S:1:pos:R:3 pbc="T T T"
Eu 0.000 0.623 0.000
Eu 0.000 4.336 3.244
O 0.000 1.998 3.936
O 0.000 2.961 0.692
O 1.606 0.133 1.682
O 1.606 2.284 3.369
O 1.606 2.675 0.125
O 1.606 4.826 4.926
```

Peak list (10 most intense, 5° ≤ 2θ ≤ 70°, in order of rising 2θ)
(hkl), d (Å), 2θ/deg, I_rel
0 1 0, 4.959, 17.9, 80
0 1 1, 3.940, 22.6, 100
0 0 2, 3.244, 27.5, 84
1 0 0, 3.213, 27.8, 60
1 1 0, 2.696, 33.2, 36
1 1 1, 2.490, 36.1, 74
0 2 1, 2.316, 38.9, 81
1 0 2, 2.283, 39.5, 65
1 1 2, 2.074, 43.7, 71
1 2 1, 1.879, 48.5, 71